K2V3F10: computed XRD peak list (Cu Kα, 1.54184 Å), based on a GGA+U-relaxed structure.
Lines closer than 0.1° are merged.

Largest 10 diffraction maxima, by intensity, 2θ from 10° to 80°:
d/Å	2θ/deg	I_rel
3.329	26.78	100.0
2.236	40.33	87.4
3.179	28.07	67.4
2.394	37.57	54.5
3.689	24.13	47.0
3.291	27.10	46.5
5.926	14.95	41.0
3.250	27.44	36.5
1.869	48.72	32.6
1.451	64.20	32.4

Unit cell a=10.044 b=10.044 c=7.988 alpha=111.36 beta=111.36 gamma=36.51
Positions (direct):
K1 0.110 0.110 0.219
K2 0.209 0.209 0.830
K3 0.791 0.791 0.170
K4 0.890 0.890 0.781
V1 0.248 0.752 0.500
V2 0.317 0.317 0.480
V3 0.421 0.421 0.028
V4 0.579 0.579 0.972
V5 0.683 0.683 0.520
V6 0.752 0.248 0.500
F1 0.000 0.500 0.500
F2 0.017 0.017 0.683
F3 0.129 0.587 0.027
F4 0.150 0.621 0.474
F5 0.264 0.264 0.227
F6 0.301 0.699 0.000
F7 0.366 0.366 0.751
F8 0.379 0.850 0.526
F9 0.413 0.871 0.973
F10 0.476 0.476 0.304
F11 0.500 0.000 0.500
F12 0.524 0.524 0.696
F13 0.587 0.129 0.027
F14 0.621 0.150 0.474
F15 0.634 0.634 0.249
F16 0.699 0.301 0.000
F17 0.736 0.736 0.773
F18 0.850 0.379 0.526
F19 0.871 0.413 0.973
F20 0.983 0.983 0.317